The following is a simulated X-ray powder pattern of CuCl2. It was derived from DFT lattice parameters and positions (PBE), using Cu Kα (weighted mean of Kα1 and Kα2).

Cell and atoms:
```
data_CuCl2
_chemical_formula_sum 'Cu3 Cl6'
_cell_length_a 3.5370
_cell_length_b 3.5370
_cell_length_c 19.7505
_cell_angle_alpha 90.00
_cell_angle_beta 90.00
_cell_angle_gamma 120.00
_space_group_name_H-M_alt 'R -3 m'
_space_group_IT_number 166
_space_group_name_Hall '-R 3 2"'
loop_
_atom_site_label
_atom_site_type_symbol
_atom_site_fract_x
_atom_site_fract_y
_atom_site_fract_z
Cu1 Cu 0.0000 0.0000 0.0000
Cl1 Cl 0.0000 0.0000 0.2653
```

Largest 6 diffraction maxima, sorted by position, 2θ from 10° to 90°:
| hkl | two_theta | I_rel |
| --- | --- | --- |
| 0 0 3 | 13.45 | 100.0 |
| 1 0 1 | 29.51 | 21.6 |
| 1 0 4 | 34.46 | 67.2 |
| 1 0 7 | 43.61 | 23.2 |
| 0 1 8 | 47.29 | 20.1 |
| 1 1 0 | 51.69 | 20.3 |

The following is a simulated X-ray powder pattern of Cs2RbNdCl6. It was derived from DFT lattice parameters and positions (PBE), using Cu Kα (weighted mean of Kα1 and Kα2).

Cell and atoms:
```
data_Cs2RbNdCl6
_chemical_formula_sum 'Cs8 Rb4 Nd4 Cl24'
_cell_length_a 11.762
_cell_length_b 11.762
_cell_length_c 11.762
_cell_angle_alpha 90.00
_cell_angle_beta 90.00
_cell_angle_gamma 90.00
_space_group_name_H-M_alt 'F m -3 m'
_space_group_IT_number 225
_space_group_name_Hall '-F 4 2 3'
loop_
_atom_site_label
_atom_site_type_symbol
_atom_site_fract_x
_atom_site_fract_y
_atom_site_fract_z
Cs1 Cs 0.250 0.250 0.250
Rb1 Rb 0.000 0.000 0.000
Nd1 Nd 0.000 0.000 0.500
Cl1 Cl 0.000 0.000 0.267
```

Largest 6 diffraction maxima, sorted by position, 2θ from 10° to 90°:
| hkl | two_theta | I_rel |
| --- | --- | --- |
| 2 2 0 | 21.37 | 100.0 |
| 4 0 0 | 30.40 | 58.5 |
| 4 2 2 | 37.46 | 46.5 |
| 4 4 0 | 43.53 | 40.6 |
| 6 2 0 | 48.98 | 23.8 |
| 6 4 2 | 58.74 | 27.1 |

The following is a simulated X-ray powder pattern of Er4ThCN4. It was derived from DFT lattice parameters and positions (PBE), using Cu Kα (weighted mean of Kα1 and Kα2).

Cell and atoms:
```
data_Er4ThCN4
_chemical_formula_sum 'Er8 Th2 C2 N8'
_cell_length_a 3.513
_cell_length_b 3.513
_cell_length_c 24.819
_cell_angle_alpha 90.00
_cell_angle_beta 90.00
_cell_angle_gamma 90.00
_space_group_name_H-M_alt 'I 4/m m m'
_space_group_IT_number 139
_space_group_name_Hall '-I 4 2'
loop_
_atom_site_label
_atom_site_type_symbol
_atom_site_fract_x
_atom_site_fract_y
_atom_site_fract_z
Er1 Er 0.000 0.000 0.107
Er2 Er 0.000 0.000 0.298
Th1 Th 0.000 0.000 0.500
C1 C 0.000 0.000 0.000
N1 N 0.000 0.000 0.201
N2 N 0.000 0.000 0.396
```

Largest 6 diffraction maxima, sorted by position, 2θ from 10° to 90°:
| hkl | two_theta | I_rel |
| --- | --- | --- |
| 1 0 5 | 31.19 | 100.0 |
| 1 1 0 | 36.17 | 68.2 |
| 2 0 0 | 52.08 | 46.5 |
| 2 1 5 | 61.97 | 43.1 |
| 3 0 5 | 85.15 | 17.6 |
| 3 1 0 | 87.92 | 20.1 |

The following is a simulated X-ray powder pattern of BiTe2Pb2AuS3. It was derived from DFT lattice parameters and positions (PBE), using Cu Kα (weighted mean of Kα1 and Kα2).

Cell and atoms:
```
data_BiTe2Pb2AuS3
_chemical_formula_sum 'Bi2 Te4 Pb4 Au2 S6'
_cell_length_a 4.181
_cell_length_b 9.667
_cell_length_c 12.299
_cell_angle_alpha 90.00
_cell_angle_beta 90.00
_cell_angle_gamma 90.00
_space_group_name_H-M_alt 'P m n 21'
_space_group_IT_number 31
_space_group_name_Hall 'P 2ac -2'
loop_
_atom_site_label
_atom_site_type_symbol
_atom_site_fract_x
_atom_site_fract_y
_atom_site_fract_z
Bi1 Bi 0.000 0.165 0.000
Te1 Te 0.000 0.492 0.183
Te2 Te 0.000 0.492 0.473
Pb1 Pb 0.000 0.154 0.329
Pb2 Pb 0.000 0.181 0.657
Au1 Au 0.000 0.503 0.828
S1 S 0.000 0.864 0.338
S2 S 0.000 0.883 0.653
S3 S 0.000 0.890 0.995
```

Largest 6 diffraction maxima, sorted by position, 2θ from 10° to 90°:
| hkl | two_theta | I_rel |
| --- | --- | --- |
| 1 1 0 | 23.18 | 37.1 |
| 0 1 3 | 23.57 | 32.9 |
| 0 3 0 | 27.69 | 68.7 |
| 1 1 3 | 31.94 | 100.0 |
| 1 2 3 | 35.86 | 59.6 |
| 2 0 0 | 43.26 | 33.4 |

The following is a simulated X-ray powder pattern of La5NiPb3. It was derived from DFT lattice parameters and positions (PBE), using Cu Kα (weighted mean of Kα1 and Kα2).

Cell and atoms:
```
data_La5NiPb3
_chemical_formula_sum 'La10 Ni2 Pb6'
_cell_length_a 9.6488
_cell_length_b 9.6488
_cell_length_c 7.1951
_cell_angle_alpha 90.00
_cell_angle_beta 90.00
_cell_angle_gamma 120.00
_space_group_name_H-M_alt 'P 63/m c m'
_space_group_IT_number 193
_space_group_name_Hall '-P 6c 2'
loop_
_atom_site_label
_atom_site_type_symbol
_atom_site_fract_x
_atom_site_fract_y
_atom_site_fract_z
La1 La 0.0000 0.2382 0.2500
La2 La 0.3333 0.6667 0.0000
Ni1 Ni 0.0000 0.0000 0.0000
Pb1 Pb 0.0000 0.4020 0.7500
```

Largest 6 diffraction maxima, sorted by position, 2θ from 10° to 90°:
| hkl | two_theta | I_rel |
| --- | --- | --- |
| 0 0 2 | 24.75 | 11.8 |
| 1 1 2 | 30.96 | 100.0 |
| 3 0 0 | 32.14 | 21.1 |
| 3 1 1 | 40.91 | 13.5 |
| 2 1 3 | 47.61 | 16.8 |
| 5 0 2 | 61.15 | 10.9 |

The following is a simulated X-ray powder pattern of Na2TeH6SO10. It was derived from DFT lattice parameters and positions (PBE), using Cu Kα (weighted mean of Kα1 and Kα2).

Cell and atoms:
```
data_Na2TeH6SO10
_chemical_formula_sum 'Na8 Te4 H24 S4 O40'
_cell_length_a 5.520
_cell_length_b 10.418
_cell_length_c 15.446
_cell_angle_alpha 90.00
_cell_angle_beta 94.92
_cell_angle_gamma 90.00
_space_group_name_H-M_alt 'C 1 c 1'
_space_group_IT_number 9
_space_group_name_Hall 'C -2yc'
loop_
_atom_site_label
_atom_site_type_symbol
_atom_site_fract_x
_atom_site_fract_y
_atom_site_fract_z
Na1 Na 0.000 0.079 0.000
Na2 Na 0.120 0.253 0.192
Te1 Te 0.461 0.015 0.312
H1 H 0.004 0.300 0.380
H2 H 0.121 0.031 0.697
H3 H 0.129 0.261 0.808
H4 H 0.138 0.440 0.671
H5 H 0.284 0.120 0.438
H6 H 0.404 0.490 0.824
S1 S 0.067 0.240 0.564
O1 O 0.071 0.103 0.591
O2 O 0.093 0.478 0.202
O3 O 0.132 0.023 0.251
O4 O 0.154 0.251 0.474
O5 O 0.245 0.315 0.624
O6 O 0.288 0.487 0.871
O7 O 0.321 0.205 0.066
O8 O 0.322 0.029 0.422
O9 O 0.423 0.173 0.822
O10 O 0.463 0.201 0.297
```

Largest 6 diffraction maxima, sorted by position, 2θ from 10° to 90°:
| hkl | two_theta | I_rel |
| --- | --- | --- |
| 0 0 2 | 11.50 | 45.7 |
| 1 1 0 | 18.24 | 50.3 |
| 0 2 2 | 20.59 | 100.0 |
| 1 1 -2 | 20.85 | 59.5 |
| 1 1 2 | 22.36 | 66.4 |
| 0 0 4 | 23.12 | 28.1 |

The following is a simulated X-ray powder pattern of Dy2B6Ru. It was derived from DFT lattice parameters and positions (PBE), using Cu Kα (weighted mean of Kα1 and Kα2).

Cell and atoms:
```
data_Dy2B6Ru
_chemical_formula_sum 'Dy8 B24 Ru4'
_cell_length_a 9.144
_cell_length_b 11.510
_cell_length_c 3.669
_cell_angle_alpha 90.00
_cell_angle_beta 90.00
_cell_angle_gamma 90.00
_space_group_name_H-M_alt 'P b a m'
_space_group_IT_number 55
_space_group_name_Hall '-P 2 2ab'
loop_
_atom_site_label
_atom_site_type_symbol
_atom_site_fract_x
_atom_site_fract_y
_atom_site_fract_z
Dy1 Dy 0.055 0.128 0.000
Dy2 Dy 0.177 0.414 0.000
B1 B 0.015 0.287 0.500
B2 B 0.055 0.567 0.500
B3 B 0.110 0.970 0.500
B4 B 0.133 0.815 0.500
B5 B 0.208 0.233 0.500
B6 B 0.249 0.580 0.500
Ru1 Ru 0.139 0.679 0.000
```

Largest 6 diffraction maxima, sorted by position, 2θ from 10° to 90°:
| hkl | two_theta | I_rel |
| --- | --- | --- |
| 0 0 1 | 24.26 | 100.0 |
| 3 1 0 | 30.37 | 74.8 |
| 3 1 1 | 39.24 | 93.2 |
| 0 4 1 | 39.81 | 32.4 |
| 1 4 1 | 41.07 | 32.7 |
| 3 2 1 | 41.59 | 33.5 |

The following is a simulated X-ray powder pattern of Ti3H2O7. It was derived from DFT lattice parameters and positions (PBE), using Cu Kα (weighted mean of Kα1 and Kα2).

Cell and atoms:
```
data_Ti3H2O7
_chemical_formula_sum 'Ti12 H8 O28'
_cell_length_a 16.740
_cell_length_b 3.778
_cell_length_c 9.507
_cell_angle_alpha 90.00
_cell_angle_beta 100.28
_cell_angle_gamma 90.00
_space_group_name_H-M_alt 'C 1 2/m 1'
_space_group_IT_number 12
_space_group_name_Hall '-C 2y'
loop_
_atom_site_label
_atom_site_type_symbol
_atom_site_fract_x
_atom_site_fract_y
_atom_site_fract_z
Ti1 Ti 0.127 0.000 0.340
Ti2 Ti 0.177 0.000 0.007
Ti3 Ti 0.231 0.000 0.711
H1 H 0.028 0.000 0.095
H2 H 0.037 0.000 0.694
O1 O 0.022 0.000 0.345
O2 O 0.087 0.000 0.106
O3 O 0.139 0.000 0.820
O4 O 0.155 0.500 0.325
O5 O 0.175 0.000 0.537
O6 O 0.208 0.500 0.040
O7 O 0.239 0.000 0.248
```

Largest 6 diffraction maxima, sorted by position, 2θ from 10° to 90°:
| hkl | two_theta | I_rel |
| --- | --- | --- |
| 2 0 0 | 10.74 | 100.0 |
| 2 0 1 | 15.55 | 19.5 |
| 1 1 0 | 24.17 | 29.9 |
| 0 0 3 | 28.65 | 30.8 |
| 6 0 -2 | 34.82 | 13.0 |
| 0 2 0 | 48.18 | 12.4 |

The following is a simulated X-ray powder pattern of K3PO5. It was derived from DFT lattice parameters and positions (PBE), using Cu Kα (weighted mean of Kα1 and Kα2).

Cell and atoms:
```
data_K3PO5
_chemical_formula_sum 'K12 P4 O20'
_cell_length_a 7.406
_cell_length_b 7.406
_cell_length_c 11.370
_cell_angle_alpha 90.00
_cell_angle_beta 90.00
_cell_angle_gamma 90.00
_space_group_name_H-M_alt 'I 4/m c m'
_space_group_IT_number 140
_space_group_name_Hall '-I 4 2c'
loop_
_atom_site_label
_atom_site_type_symbol
_atom_site_fract_x
_atom_site_fract_y
_atom_site_fract_z
K1 K 0.000 0.000 0.250
K2 K 0.194 0.306 0.000
P1 P 0.000 0.500 0.250
O1 O 0.000 0.000 0.000
O2 O 0.119 0.381 0.332
```

Largest 6 diffraction maxima, sorted by position, 2θ from 10° to 90°:
| hkl | two_theta | I_rel |
| --- | --- | --- |
| 2 0 2 | 28.77 | 100.0 |
| 0 0 4 | 31.47 | 25.7 |
| 2 2 0 | 34.24 | 39.3 |
| 2 1 3 | 36.01 | 69.5 |
| 3 1 0 | 38.44 | 19.5 |
| 2 2 4 | 47.19 | 27.9 |

The following is a simulated X-ray powder pattern of Ho2CdS4. It was derived from DFT lattice parameters and positions (PBE), using Cu Kα (weighted mean of Kα1 and Kα2).

Cell and atoms:
Unit cell a=11.263 b=11.263 c=11.263 alpha=90.00 beta=90.00 gamma=90.00
Space group Fd-3m (No. 227, origin choice 2)
Asymmetric unit:
Ho: 0.000 0.000 0.000 (multiplicity 16)
Cd: 0.125 0.125 0.625 (multiplicity 8)
S: 0.008 0.008 0.242 (multiplicity 32)

Largest 6 diffraction maxima, sorted by position, 2θ from 10° to 90°:
| hkl | two_theta | I_rel |
| --- | --- | --- |
| 1 1 1 | 13.62 | 22.0 |
| 3 1 1 | 26.24 | 100.0 |
| 4 0 0 | 31.78 | 30.8 |
| 5 1 1 | 41.67 | 43.2 |
| 4 4 0 | 45.56 | 61.2 |
| 5 5 3 | 63.44 | 23.5 |

The following is a simulated X-ray powder pattern of Eu3As4. It was derived from DFT lattice parameters and positions (PBE), using Cu Kα (weighted mean of Kα1 and Kα2).

Cell and atoms:
```
data_Eu3As4
_chemical_formula_sum 'Eu24 As32'
_cell_length_a 14.740
_cell_length_b 17.503
_cell_length_c 5.844
_cell_angle_alpha 90.00
_cell_angle_beta 90.00
_cell_angle_gamma 90.00
_space_group_name_H-M_alt 'F d d 2'
_space_group_IT_number 43
_space_group_name_Hall 'F 2 -2d'
loop_
_atom_site_label
_atom_site_type_symbol
_atom_site_fract_x
_atom_site_fract_y
_atom_site_fract_z
Eu1 Eu 0.000 0.000 0.000
Eu2 Eu 0.002 0.167 0.470
As1 As 0.083 0.332 0.469
As2 As 0.089 0.496 0.004
```

Largest 6 diffraction maxima, sorted by position, 2θ from 10° to 90°:
| hkl | two_theta | I_rel |
| --- | --- | --- |
| 3 3 1 | 28.23 | 47.1 |
| 2 6 0 | 33.00 | 100.0 |
| 5 3 1 | 37.49 | 53.2 |
| 0 6 2 | 43.86 | 35.7 |
| 7 3 1 | 48.53 | 22.9 |
| 5 9 1 | 59.03 | 26.9 |